[1]
Structure and simulated powder XRD pattern of Pr4Sb3Br (DFT lattice parameters and positions (GGA-PBE); CuKα).
Neutral-atom scattering factors, no anomalous dispersion.

Main lines, most intense first (10 to 90 degrees two-theta):
Position (°2θ)	I/Imax	index
28.00	1000	2 0 0
39.89	762	2 0 4
27.84	502	0 0 4
49.44	408	2 2 4
40.01	382	2 2 0
65.45	350	4 2 0
72.60	257	4 2 4
65.16	171	2 0 8

Structural model:
```
data_Pr4Sb3Br
_cell_length_a 6.3738
_cell_length_b 6.3738
_cell_length_c 12.8187
_cell_angle_alpha 90.00
_cell_angle_beta 90.00
_cell_angle_gamma 90.00
_symmetry_space_group_name_H-M 'I 4/m m m'
_symmetry_Int_Tables_number 139
_symmetry_space_group_name_Hall '-I 4 2'
loop_
_atom_site_label
_atom_site_fract_x
_atom_site_fract_y
_atom_site_fract_z
Pr1 0.0000 0.0000 0.2420
Pr2 0.0000 0.5000 0.0000
Sb1 0.0000 0.0000 0.0000
Sb2 0.0000 0.5000 0.2500
Br1 0.0000 0.0000 0.5000
```

=====

[2]
Structure and simulated powder XRD pattern of Pr4SeBr5 (DFT lattice parameters and positions (GGA-PBE); CuKα).
Neutral-atom scattering factors, no anomalous dispersion.

Main lines, most intense first (10 to 90 degrees two-theta):
Position (°2θ)	I/Imax	index
29.72	1000	1 1 -2
29.41	584	6 0 0
10.45	416	0 0 1
42.02	358	7 1 -2
42.55	344	5 1 2
53.54	193	6 2 0
41.32	186	2 0 -4
43.70	178	0 2 0

Structural model:
```
data_Pr4SeBr5
_cell_length_a 18.8254
_cell_length_b 4.1425
_cell_length_c 8.7413
_cell_angle_alpha 90.00
_cell_angle_beta 104.42
_cell_angle_gamma 90.00
_symmetry_space_group_name_H-M 'C 1 2/m 1'
_symmetry_Int_Tables_number 12
loop_
_symmetry_equiv_pos_as_xyz
'x,y,z'
'-x,-y,-z'
'-x,y,-z'
'x,-y,z'
'x+1/2,y+1/2,z'
'-x+1/2,-y+1/2,-z'
'-x+1/2,y+1/2,-z'
'x+1/2,-y+1/2,z'
loop_
_atom_site_label
_atom_site_fract_x
_atom_site_fract_y
_atom_site_fract_z
Pr1 0.0018 0.0000 0.2747
Pr2 0.1540 0.5000 0.5763
Se1 0.0000 0.5000 0.5000
Br1 0.0000 0.5000 0.0000
Br2 0.1639 0.0000 0.8345
Br3 0.1731 0.0000 0.3249
```

=====

[3]
Structure and simulated powder XRD pattern of Pr3Se2Br (DFT lattice parameters and positions (GGA-PBE); CuKα).
Neutral-atom scattering factors, no anomalous dispersion.

Main lines, most intense first (10 to 90 degrees two-theta):
Position (°2θ)	I/Imax	index
29.55	1000	1 0 4
31.77	696	1 0 5
44.38	562	1 1 0
66.44	250	1 1 12
40.10	243	1 0 8
43.31	223	1 0 9
25.48	212	1 0 1
54.23	180	2 0 4

Structural model:
```
data_Pr3Se2Br
_cell_length_a 4.0822
_cell_length_b 4.0822
_cell_length_c 23.3078
_cell_angle_alpha 90.00
_cell_angle_beta 90.00
_cell_angle_gamma 120.00
_symmetry_space_group_name_H-M 'P 63/m m c'
_symmetry_Int_Tables_number 194
_symmetry_space_group_name_Hall '-P 6c 2c'
loop_
_atom_site_label
_atom_site_fract_x
_atom_site_fract_y
_atom_site_fract_z
Pr1 0.0000 0.0000 0.0000
Pr2 0.3333 0.6667 0.1547
Se1 0.3333 0.6667 0.5784
Br1 0.0000 0.0000 0.2500
```

=====

[4]
Structure and simulated powder XRD pattern of Pr3SnSeBr (DFT lattice parameters and positions (GGA-PBE); CuKα).
Neutral-atom scattering factors, no anomalous dispersion.

Main lines, most intense first (10 to 90 degrees two-theta):
Position (°2θ)	I/Imax	index
30.51	1000	2 1 0
33.58	746	1 0 -4
40.68	571	0 2 0
31.60	569	1 1 2
31.10	512	2 1 -2
29.45	486	2 1 -1
26.68	485	0 0 3
35.10	406	2 1 -3

Structural model:
```
data_Pr3SnSeBr
_cell_length_a 8.3206
_cell_length_b 4.4355
_cell_length_c 10.6831
_cell_angle_alpha 90.00
_cell_angle_beta 110.26
_cell_angle_gamma 90.00
_symmetry_space_group_name_H-M 'P 1 21/m 1'
_symmetry_Int_Tables_number 11
loop_
_symmetry_equiv_pos_as_xyz
'x,y,z'
'-x,-y,-z'
'-x,y+1/2,-z'
'x,-y+1/2,z'
loop_
_atom_site_label
_atom_site_fract_x
_atom_site_fract_y
_atom_site_fract_z
Pr1 0.1798 0.2500 0.1120
Pr2 0.1830 0.2500 0.4882
Pr3 0.3143 0.7500 0.8316
Sn1 0.0112 0.2500 0.7464
Se1 0.4197 0.7500 0.1213
Br1 0.4527 0.7500 0.6036
```

=====

[5]
Structure and simulated powder XRD pattern of Pr6Te3Se2Br (DFT lattice parameters and positions (GGA-PBE); CuKα).
Neutral-atom scattering factors, no anomalous dispersion.

Main lines, most intense first (10 to 90 degrees two-theta):
Position (°2θ)	I/Imax	index
28.58	1000	2 0 -2
41.06	354	0 6 0
40.71	247	3 3 -1
50.84	123	2 6 -2
40.56	118	2 0 2
67.25	91	1 9 1
59.10	70	2 6 2
74.63	68	4 6 -4

Structural model:
```
data_Pr6Te3Se2Br
_cell_length_a 7.6998
_cell_length_b 13.1833
_cell_length_c 7.6188
_cell_angle_alpha 90.00
_cell_angle_beta 108.99
_cell_angle_gamma 90.00
_symmetry_space_group_name_H-M 'C 1 2/m 1'
_symmetry_Int_Tables_number 12
loop_
_symmetry_equiv_pos_as_xyz
'x,y,z'
'-x,-y,-z'
'-x,y,-z'
'x,-y,z'
'x+1/2,y+1/2,z'
'-x+1/2,-y+1/2,-z'
'-x+1/2,y+1/2,-z'
'x+1/2,-y+1/2,z'
loop_
_atom_site_label
_atom_site_fract_x
_atom_site_fract_y
_atom_site_fract_z
Pr1 0.2154 0.0000 0.2170
Pr2 0.2429 0.1776 0.7683
Te1 0.0000 0.0000 0.5000
Te2 0.0000 0.3438 0.5000
Se1 0.0000 0.1704 0.0000
Br1 0.0000 0.5000 0.0000
```

=====

[6]
Structure and simulated powder XRD pattern of Pr2Si2Br (DFT lattice parameters and positions (GGA-PBE); CuKα).
Neutral-atom scattering factors, no anomalous dispersion.

Main lines, most intense first (10 to 90 degrees two-theta):
Position (°2θ)	I/Imax	index
35.48	1000	2 3 1
30.47	630	2 4 0
23.14	575	0 1 1
43.73	321	0 7 1
64.36	221	4 7 1
56.19	219	2 4 2
31.54	193	0 6 0
50.97	155	4 1 1

Structural model:
```
data_Pr2Si2Br
_cell_length_a 8.1016
_cell_length_b 17.0188
_cell_length_c 3.9456
_cell_angle_alpha 90.00
_cell_angle_beta 90.00
_cell_angle_gamma 90.00
_symmetry_space_group_name_H-M 'I m m a'
_symmetry_Int_Tables_number 74
_symmetry_space_group_name_Hall '-I 2b 2'
loop_
_atom_site_label
_atom_site_fract_x
_atom_site_fract_y
_atom_site_fract_z
Pr1 0.2500 0.1029 0.2500
Si1 0.0000 0.0407 0.7500
Br1 0.0000 0.2500 0.2468
```

=====

[7]
Structure and simulated powder XRD pattern of PrSm2Br6 (DFT lattice parameters and positions (GGA-PBE); CuKα).
Neutral-atom scattering factors, no anomalous dispersion.

Main lines, most intense first (10 to 90 degrees two-theta):
Position (°2θ)	I/Imax	index
35.72	1000	1 1 6
28.12	838	2 -1 3
44.28	496	3 0 0
16.65	453	0 1 2
70.00	249	3 0 12
58.14	239	4 -2 6
22.04	225	1 0 4
75.89	217	4 1 6

Structural model:
```
data_PrSm2Br6
_cell_length_a 7.0862
_cell_length_b 7.0862
_cell_length_c 21.3954
_cell_angle_alpha 90.00
_cell_angle_beta 90.00
_cell_angle_gamma 120.00
_symmetry_space_group_name_H-M 'R 3'
_symmetry_Int_Tables_number 146
_symmetry_space_group_name_Hall 'R 3'
loop_
_atom_site_label
_atom_site_fract_x
_atom_site_fract_y
_atom_site_fract_z
Pr1 0.0000 0.0000 0.0000
Sm1 0.0000 0.0000 0.5026
Sm2 0.0000 0.0000 0.8365
Br1 0.0027 0.3396 0.9180
Br2 0.0028 0.6540 0.0829
```

=====

[8]
Structure and simulated powder XRD pattern of PrSmBr5 (DFT lattice parameters and positions (GGA-PBE); CuKα).
Neutral-atom scattering factors, no anomalous dispersion.

Main lines, most intense first (10 to 90 degrees two-theta):
Position (°2θ)	I/Imax	index
11.84	1000	1 0 -1
30.54	436	1 1 -3
30.20	351	2 1 0
32.32	274	2 1 -2
27.66	237	1 1 2
43.91	213	0 2 0
41.22	185	2 1 4
33.94	179	0 1 4

Structural model:
```
data_PrSmBr5
_cell_length_a 8.5214
_cell_length_b 4.1243
_cell_length_c 13.7919
_cell_angle_alpha 90.00
_cell_angle_beta 94.09
_cell_angle_gamma 90.00
_symmetry_space_group_name_H-M 'P 1 21/m 1'
_symmetry_Int_Tables_number 11
loop_
_symmetry_equiv_pos_as_xyz
'x,y,z'
'-x,-y,-z'
'-x,y+1/2,-z'
'x,-y+1/2,z'
loop_
_atom_site_label
_atom_site_fract_x
_atom_site_fract_y
_atom_site_fract_z
Pr1 0.1003 0.2500 0.1526
Sm1 0.4186 0.7500 0.3446
Br1 0.0663 0.7500 0.3105
Br2 0.1370 0.2500 0.9286
Br3 0.3209 0.2500 0.4833
Br4 0.3517 0.7500 0.1276
Br5 0.3656 0.7500 0.7112
```

=====

[9]
Structure and simulated powder XRD pattern of Pr2SmBr8 (DFT lattice parameters and positions (GGA-PBE); CuKα).
Neutral-atom scattering factors, no anomalous dispersion.

Main lines, most intense first (10 to 90 degrees two-theta):
Position (°2θ)	I/Imax	index
31.15	1000	0 0 2
31.36	710	3 1 -1
37.44	629	1 5 -1
37.81	449	3 3 0
30.36	399	1 1 -2
20.47	388	0 2 1
34.34	359	2 4 0
29.40	356	1 3 1

Structural model:
```
data_Pr2SmBr8
_cell_length_a 8.9163
_cell_length_b 13.2743
_cell_length_c 6.0402
_cell_angle_alpha 90.00
_cell_angle_beta 108.27
_cell_angle_gamma 90.00
_symmetry_space_group_name_H-M 'C 1 2/m 1'
_symmetry_Int_Tables_number 12
loop_
_symmetry_equiv_pos_as_xyz
'x,y,z'
'-x,-y,-z'
'-x,y,-z'
'x,-y,z'
'x+1/2,y+1/2,z'
'-x+1/2,-y+1/2,-z'
'-x+1/2,y+1/2,-z'
'x+1/2,-y+1/2,z'
loop_
_atom_site_label
_atom_site_fract_x
_atom_site_fract_y
_atom_site_fract_z
Pr1 0.0000 0.1887 0.0000
Sm1 0.0000 0.5000 0.5000
Br1 0.0000 0.2787 0.5000
Br2 0.1410 0.0000 0.3225
Br3 0.2019 0.3721 0.0907
```

=====

[10]
Structure and simulated powder XRD pattern of PrSmTe2Br (DFT lattice parameters and positions (GGA-PBE); CuKα).
Neutral-atom scattering factors, no anomalous dispersion.

Main lines, most intense first (10 to 90 degrees two-theta):
Position (°2θ)	I/Imax	index
28.09	1000	1 1 0
40.14	707	2 0 0
36.82	615	1 1 4
58.12	500	2 2 0
35.56	472	1 0 5
29.27	346	0 0 5
50.45	300	2 0 5
28.71	284	1 1 1

Structural model:
```
data_PrSmTe2Br
_cell_length_a 4.4924
_cell_length_b 4.4924
_cell_length_c 15.2579
_cell_angle_alpha 90.00
_cell_angle_beta 90.00
_cell_angle_gamma 90.00
_symmetry_space_group_name_H-M 'P 4/n m m'
_symmetry_Int_Tables_number 129
loop_
_symmetry_equiv_pos_as_xyz
'x,y,z'
'-x,-y,-z'
'-y+1/2,x,z'
'y+1/2,-x,-z'
'-x+1/2,-y+1/2,z'
'x+1/2,y+1/2,-z'
'y,-x+1/2,z'
'-y,x+1/2,-z'
'x+1/2,-y,-z'
'-x+1/2,y,z'
'-y,-x,-z'
'y,x,z'
'-x,y+1/2,-z'
'x,-y+1/2,z'
'y+1/2,x+1/2,-z'
'-y+1/2,-x+1/2,z'
loop_
_atom_site_label
_atom_site_fract_x
_atom_site_fract_y
_atom_site_fract_z
Pr1 0.2500 0.2500 0.1423
Sm1 0.2500 0.2500 0.5858
Te1 0.2500 0.2500 0.3777
Te2 0.2500 0.2500 0.7945
Br1 0.2500 0.7500 0.0000
```

=====

[11]
Structure and simulated powder XRD pattern of SrPrBr6 (DFT lattice parameters and positions (GGA-PBE); CuKα).
Neutral-atom scattering factors, no anomalous dispersion.

Main lines, most intense first (10 to 90 degrees two-theta):
Position (°2θ)	I/Imax	index
14.89	1000	2 0 0
30.03	613	4 0 0
33.68	535	4 2 0
42.99	448	4 4 0
45.74	280	6 0 0
70.81	198	8 4 0
25.93	160	2 2 2
64.57	157	6 4 4

Structural model:
```
data_SrPrBr6
_cell_length_a 11.9022
_cell_length_b 11.9022
_cell_length_c 11.9022
_cell_angle_alpha 90.00
_cell_angle_beta 90.00
_cell_angle_gamma 90.00
_symmetry_space_group_name_H-M 'F m -3 m'
_symmetry_Int_Tables_number 225
_symmetry_space_group_name_Hall '-F 4 2 3'
loop_
_atom_site_label
_atom_site_fract_x
_atom_site_fract_y
_atom_site_fract_z
Sr1 0.0000 0.0000 0.0000
Pr1 0.0000 0.0000 0.5000
Br1 0.0000 0.0000 0.2558
```

=====

[12]
Structure and simulated powder XRD pattern of TbPrBr (DFT lattice parameters and positions (GGA-PBE); CuKα).
Neutral-atom scattering factors, no anomalous dispersion.

Main lines, most intense first (10 to 90 degrees two-theta):
Position (°2θ)	I/Imax	index
29.64	1000	1 0 7
33.33	456	0 1 11
27.81	340	1 0 4
47.47	326	1 1 0
36.81	308	0 1 14
58.34	232	1 1 18
31.91	215	0 0 18
56.97	157	0 2 7

Structural model:
```
data_TbPrBr
_cell_length_a 3.8307
_cell_length_b 3.8307
_cell_length_c 50.4835
_cell_angle_alpha 90.00
_cell_angle_beta 90.00
_cell_angle_gamma 120.00
_symmetry_space_group_name_H-M 'R -3 m'
_symmetry_Int_Tables_number 166
_symmetry_space_group_name_Hall '-R 3 2"'
loop_
_atom_site_label
_atom_site_fract_x
_atom_site_fract_y
_atom_site_fract_z
Tb1 0.0000 0.0000 0.1389
Pr1 0.0000 0.0000 0.4144
Br1 0.0000 0.0000 0.2931
```

=====

[13]
Structure and simulated powder XRD pattern of Pr9Tc2Br14 (DFT lattice parameters and positions (GGA-PBE); CuKα).
Neutral-atom scattering factors, no anomalous dispersion.

Main lines, most intense first (10 to 90 degrees two-theta):
Position (°2θ)	I/Imax	index
35.81	1000	2 -1 4
21.27	869	2 -1 1
31.61	763	3 -1 1
34.93	664	3 0 0
13.61	462	0 1 1
21.96	402	0 0 3
30.70	302	1 2 0
38.07	294	1 2 3

Structural model:
```
data_Pr9Tc2Br14
_cell_length_a 8.8971
_cell_length_b 8.8971
_cell_length_c 12.1405
_cell_angle_alpha 90.00
_cell_angle_beta 90.00
_cell_angle_gamma 120.00
_symmetry_space_group_name_H-M 'P -3'
_symmetry_Int_Tables_number 147
loop_
_symmetry_equiv_pos_as_xyz
'x,y,z'
'-x,-y,-z'
'-y,x-y,z'
'y,-x+y,-z'
'-x+y,-x,z'
'x-y,x,-z'
loop_
_atom_site_label
_atom_site_fract_x
_atom_site_fract_y
_atom_site_fract_z
Pr1 0.0000 0.0000 0.0000
Pr2 0.0908 0.3749 0.3395
Pr3 0.3333 0.6667 0.0440
Tc1 0.3333 0.6667 0.2587
Br1 0.0000 0.0000 0.2563
Br2 0.0523 0.6931 0.9082
Br3 0.0863 0.4004 0.5953
```